1.
Diffraction record for Tm2Ge2BOs2. The powder X-ray diffraction pattern is simulated, not measured: it uses DFT lattice parameters and positions (PBE) and Cu Kα.
Lines closer than 0.1° are merged.

Crystal structure
```
Tm2Ge2BOs2
1.0
5.472 -2.105 0.000
5.472 2.105 0.000
-4.221 0.000 5.382
Tm Ge B Os
2 2 1 2
direct
0.064 0.064 0.334 Tm
0.936 0.936 0.666 Tm
0.348 0.348 0.887 Ge
0.652 0.652 0.113 Ge
0.500 0.500 0.500 B
0.289 0.289 0.187 Os
0.711 0.711 0.813 Os
```

Largest 10 diffraction maxima, low angle first, 10 to 90 degrees two-theta:
2θ (°), I_rel
32.41, 90
33.29, 17
33.74, 20
33.99, 26
35.47, 100
37.94, 40
40.84, 35
42.98, 41
60.78, 22
63.09, 16

2.
Diffraction record for GeBP. The powder X-ray diffraction pattern is simulated, not measured: it uses DFT lattice parameters and positions (PBE) and Cu Kα.
Lines closer than 0.1° are merged.

Crystal structure
```
GeBP
1.0
6.185 -2.696 0.000
6.185 2.696 0.000
-5.927 0.000 8.224
Ge B P
6 6 6
direct
0.024 0.514 0.693 Ge
0.062 0.938 0.500 Ge
0.294 0.720 0.792 Ge
0.514 0.024 0.193 Ge
0.720 0.294 0.292 Ge
0.938 0.062 0.000 Ge
0.081 0.327 0.177 B
0.135 0.947 0.314 B
0.327 0.081 0.677 B
0.615 0.779 0.968 B
0.779 0.615 0.468 B
0.947 0.135 0.814 B
0.253 0.645 0.119 P
0.450 0.986 0.504 P
0.642 0.895 0.841 P
0.645 0.253 0.619 P
0.895 0.642 0.341 P
0.986 0.450 0.004 P
```

Largest 10 diffraction maxima, low angle first, 10 to 90 degrees two-theta:
2θ (°), I_rel
18.68, 24
18.81, 34
24.40, 50
32.90, 100
35.02, 25
35.79, 63
38.16, 23
39.99, 25
40.67, 33
57.10, 31

3.
Diffraction record for Pa4GeB3Rh12. The powder X-ray diffraction pattern is simulated, not measured: it uses DFT lattice parameters and positions (PBE) and Cu Kα.
Lines closer than 0.1° are merged.

Crystal structure
```
Pa4GeB3Rh12
1.0
-4.322 4.322 4.322
4.322 -4.322 4.322
4.322 4.322 -4.322
Pa Ge B Rh
4 1 3 12
direct
0.000 0.000 0.500 Pa
0.000 0.500 0.000 Pa
0.500 0.000 0.000 Pa
0.500 0.500 0.500 Pa
0.000 0.000 0.000 Ge
0.000 0.500 0.500 B
0.500 0.000 0.500 B
0.500 0.500 0.000 B
0.000 0.272 0.272 Rh
0.000 0.728 0.728 Rh
0.250 0.500 0.750 Rh
0.250 0.750 0.500 Rh
0.272 0.000 0.272 Rh
0.272 0.272 0.000 Rh
0.500 0.250 0.750 Rh
0.500 0.750 0.250 Rh
0.728 0.000 0.728 Rh
0.728 0.728 0.000 Rh
0.750 0.250 0.500 Rh
0.750 0.500 0.250 Rh
```

Largest 10 diffraction maxima, low angle first, 10 to 90 degrees two-theta:
2θ (°), I_rel
20.55, 9
29.22, 22
35.99, 100
41.80, 59
47.01, 6
51.81, 8
60.60, 38
72.54, 37
76.32, 13
83.73, 6

4.
Diffraction record for Pa2GeBRu6. The powder X-ray diffraction pattern is simulated, not measured: it uses DFT lattice parameters and positions (PBE) and Cu Kα.
Lines closer than 0.1° are merged.

Crystal structure
```
Pa2GeBRu6
1.0
4.396 0.000 0.000
0.000 4.396 0.000
0.000 0.000 8.645
Pa Ge B Ru
2 1 1 6
direct
0.000 0.000 0.242 Pa
0.000 0.000 0.758 Pa
0.500 0.500 0.500 Ge
0.500 0.500 0.000 B
0.000 0.500 0.000 Ru
0.000 0.500 0.500 Ru
0.500 0.000 0.000 Ru
0.500 0.000 0.500 Ru
0.500 0.500 0.230 Ru
0.500 0.500 0.770 Ru
```

Largest 10 diffraction maxima, low angle first, 10 to 90 degrees two-theta:
2θ (°), I_rel
28.72, 10
28.97, 20
35.57, 100
41.06, 47
41.80, 21
59.47, 16
60.03, 29
71.25, 26
72.28, 11
75.31, 15